[1]
Diffraction record for NdEr2Hg4. The powder diffraction line list is computed, not measured: it uses DFT lattice parameters and positions (PBE) and Cu Ka.
Intensities are scaled so that the largest is 100.

Most intense lines, 2θ from 10° to 90°, in order of rising 2θ:
- 19.8°, intensity 27, hkl 0 0 6
- 26.6°, intensity 18, hkl 0 1 5
- 31.3°, intensity 11, hkl 1 0 7
- 33.9°, intensity 82, hkl 0 1 8
- 36.3°, intensity 100, hkl 1 1 0
- 41.7°, intensity 25, hkl 1 1 6
- 42.6°, intensity 9, hkl 0 1 11
- 50.5°, intensity 27, hkl 2 0 8
- 63.8°, intensity 27, hkl 1 2 8
- 65.4°, intensity 18, hkl 3 0 0
- 77.1°, intensity 12, hkl 2 2 0
- 87.0°, intensity 12, hkl 3 1 8

Cell and atoms:
```
data_NdEr2Hg4
_chemical_formula_sum 'Nd3 Er6 Hg12'
_cell_length_a 4.9459
_cell_length_b 4.9459
_cell_length_c 26.8945
_cell_angle_alpha 90.00
_cell_angle_beta 90.00
_cell_angle_gamma 120.00
_symmetry_space_group_name_H-M 'R -3 m'
_symmetry_Int_Tables_number 166
_symmetry_space_group_name_Hall '-R 3 2"'
loop_
_atom_site_label
_atom_site_fract_x
_atom_site_fract_y
_atom_site_fract_z
Nd1 0.0000 0.0000 0.0000
Er1 0.0000 0.0000 0.1247
Hg1 0.0000 0.0000 0.2451
Hg2 0.0000 0.0000 0.3965
```

=====

[2]
Diffraction record for Tl16AgHg12. The powder diffraction line list is computed, not measured: it uses DFT lattice parameters and positions (PBE) and Cu Ka.
Intensities are scaled so that the largest is 100.

Most intense lines, 2θ from 10° to 90°, in order of rising 2θ:
- 30.3°, intensity 10, hkl 0 4 2
- 32.1°, intensity 85, hkl 4 2 -2
- 32.2°, intensity 100, hkl 1 5 1
- 35.5°, intensity 13, hkl 2 0 2
- 35.7°, intensity 37, hkl 3 5 -2
- 37.3°, intensity 12, hkl 4 0 -4
- 38.8°, intensity 11, hkl 4 4 -1
- 38.9°, intensity 12, hkl 4 4 -3
- 53.8°, intensity 9, hkl 4 8 -2
- 57.2°, intensity 20, hkl 1 5 4
- 57.3°, intensity 17, hkl 1 5 -5
- 57.4°, intensity 12, hkl 2 8 -4

Cell and atoms:
```
data_Tl16AgHg12
_chemical_formula_sum 'Tl32 Ag2 Hg24'
_cell_length_a 11.8392
_cell_length_b 16.6490
_cell_length_c 10.2304
_cell_angle_alpha 90.00
_cell_angle_beta 125.08
_cell_angle_gamma 90.00
_symmetry_space_group_name_H-M 'C 1 m 1'
_symmetry_Int_Tables_number 8
loop_
_symmetry_equiv_pos_as_xyz
'x,y,z'
'x,-y,z'
'x+1/2,y+1/2,z'
'x+1/2,-y+1/2,z'
loop_
_atom_site_label
_atom_site_fract_x
_atom_site_fract_y
_atom_site_fract_z
Tl1 0.0000 0.0000 0.0000
Tl2 0.0283 0.3013 0.3291
Tl3 0.0285 0.3788 0.9912
Tl4 0.0414 0.0000 0.6586
Tl5 0.1278 0.5000 0.3144
Tl6 0.2095 0.1937 0.6883
Tl7 0.3187 0.3212 0.0040
Tl8 0.3517 0.3443 0.4040
Tl9 0.3581 0.0000 0.3462
Tl10 0.4409 0.1556 0.5945
Ag1 0.3184 0.0000 0.6896
Hg1 0.0059 0.1935 0.8142
Hg2 0.1063 0.0925 0.3713
Hg3 0.1183 0.5000 0.8083
Hg4 0.1794 0.1948 0.1809
Hg5 0.2447 0.4047 0.6551
Hg6 0.2787 0.0910 0.0099
Hg7 0.3219 0.5000 0.1807
```

=====

[3]
Diffraction record for CsK5Rb2Na. The powder diffraction line list is computed, not measured: it uses DFT lattice parameters and positions (PBE) and Cu Ka.
Intensities are scaled so that the largest is 100.

Most intense lines, 2θ from 10° to 90°, in order of rising 2θ:
- 10.2°, intensity 41, hkl 0 2 2
- 20.6°, intensity 46, hkl 0 4 4
- 21.6°, intensity 50, hkl 0 6 1
- 22.2°, intensity 40, hkl 1 3 1
- 22.5°, intensity 90, hkl 1 1 3
- 22.5°, intensity 38, hkl 0 6 2
- 23.5°, intensity 100, hkl 0 2 6
- 24.6°, intensity 72, hkl 1 1 4
- 26.4°, intensity 49, hkl 1 5 1
- 27.2°, intensity 40, hkl 1 5 2
- 34.4°, intensity 27, hkl 1 3 7
- 45.9°, intensity 30, hkl 2 2 6

Cell and atoms:
```
data_CsK5Rb2Na
_chemical_formula_sum 'Cs4 K20 Rb8 Na4'
_cell_length_a 4.6352
_cell_length_b 25.0958
_cell_length_c 23.7912
_cell_angle_alpha 90.00
_cell_angle_beta 90.00
_cell_angle_gamma 90.00
_symmetry_space_group_name_H-M 'C m c 21'
_symmetry_Int_Tables_number 36
loop_
_symmetry_equiv_pos_as_xyz
'x,y,z'
'-x,-y,z+1/2'
'-x,y,z'
'x,-y,z+1/2'
'x+1/2,y+1/2,z'
'-x+1/2,-y+1/2,z+1/2'
'-x+1/2,y+1/2,z'
'x+1/2,-y+1/2,z+1/2'
loop_
_atom_site_label
_atom_site_fract_x
_atom_site_fract_y
_atom_site_fract_z
Cs1 0.0000 0.0317 0.0000
K1 0.0000 0.0652 0.8093
K2 0.0000 0.0873 0.1924
K3 0.0000 0.1722 0.5370
K4 0.0000 0.2082 0.9230
K5 0.0000 0.4368 0.1495
Rb1 0.0000 0.2661 0.2258
Rb2 0.0000 0.3896 0.8653
Na1 0.0000 0.3260 0.5785
```

=====

[4]
Diffraction record for K2AgOsO4. The powder diffraction line list is computed, not measured: it uses DFT lattice parameters and positions (PBE) and Cu Ka.
Intensities are scaled so that the largest is 100.

Most intense lines, 2θ from 10° to 90°, in order of rising 2θ:
- 18.7°, intensity 81, hkl 1 0 1
- 28.6°, intensity 49, hkl 2 0 0
- 31.8°, intensity 100, hkl 1 1 2
- 34.4°, intensity 24, hkl 1 2 1
- 40.9°, intensity 28, hkl 2 2 0
- 49.7°, intensity 11, hkl 1 2 3
- 52.7°, intensity 45, hkl 1 3 2
- 54.4°, intensity 13, hkl 2 3 1
- 58.5°, intensity 16, hkl 2 0 4
- 66.4°, intensity 11, hkl 2 2 4
- 67.0°, intensity 11, hkl 2 4 0
- 83.2°, intensity 12, hkl 5 1 2

Cell and atoms:
```
data_K2AgOsO4
_chemical_formula_sum 'K4 Ag2 Os2 O8'
_cell_length_a 6.2439
_cell_length_b 6.2439
_cell_length_c 7.3065
_cell_angle_alpha 90.00
_cell_angle_beta 90.00
_cell_angle_gamma 90.00
_symmetry_space_group_name_H-M 'I -4'
_symmetry_Int_Tables_number 82
loop_
_symmetry_equiv_pos_as_xyz
'x,y,z'
'y,-x,-z'
'-x,-y,z'
'-y,x,-z'
'x+1/2,y+1/2,z+1/2'
'y+1/2,-x+1/2,-z+1/2'
'-x+1/2,-y+1/2,z+1/2'
'-y+1/2,x+1/2,-z+1/2'
loop_
_atom_site_label
_atom_site_fract_x
_atom_site_fract_y
_atom_site_fract_z
K1 0.0000 0.0000 0.0000
K2 0.0000 0.5000 0.2500
Ag1 0.0000 0.0000 0.5000
Os1 0.0000 0.5000 0.7500
O1 0.1587 0.7436 0.6967
```

=====

[5]
Diffraction record for SiHg. The powder diffraction line list is computed, not measured: it uses DFT lattice parameters and positions (PBE) and Cu Ka.
Intensities are scaled so that the largest is 100.

Most intense lines, 2θ from 10° to 90°, in order of rising 2θ:
- 15.6°, intensity 27, hkl 0 0 1
- 21.6°, intensity 35, hkl 0 1 -1
- 26.1°, intensity 100, hkl 1 -1 0
- 26.9°, intensity 35, hkl 1 0 0
- 27.3°, intensity 22, hkl 1 0 -1
- 31.0°, intensity 88, hkl 0 1 -2
- 31.5°, intensity 99, hkl 0 1 1
- 34.8°, intensity 46, hkl 1 0 1
- 35.8°, intensity 47, hkl 1 0 -2
- 39.0°, intensity 36, hkl 1 1 -1
- 40.5°, intensity 26, hkl 1 -1 2
- 41.1°, intensity 40, hkl 0 2 -1

Cell and atoms:
```
data_SiHg
_chemical_formula_sum 'Si2 Hg2'
_cell_length_a 3.7261
_cell_length_b 4.7559
_cell_length_c 6.1612
_cell_angle_alpha 107.16
_cell_angle_beta 96.85
_cell_angle_gamma 112.69
_symmetry_space_group_name_H-M 'P 1'
_symmetry_Int_Tables_number 1
loop_
_symmetry_equiv_pos_as_xyz
'x,y,z'
loop_
_atom_site_label
_atom_site_fract_x
_atom_site_fract_y
_atom_site_fract_z
Si1 0.0000 0.0000 0.0000
Si2 0.3807 0.8601 0.7444
Hg1 0.1052 0.6027 0.1904
Hg2 0.8095 0.2633 0.5603
```

=====

[6]
Diffraction record for HoThCd6. The powder diffraction line list is computed, not measured: it uses DFT lattice parameters and positions (PBE) and Cu Ka.
Intensities are scaled so that the largest is 100.

Most intense lines, 2θ from 10° to 90°, in order of rising 2θ:
- 29.9°, intensity 13, hkl 0 2 2
- 31.9°, intensity 19, hkl 0 0 4
- 32.6°, intensity 11, hkl 1 1 3
- 35.0°, intensity 100, hkl 1 2 2
- 36.3°, intensity 29, hkl 2 0 0
- 36.8°, intensity 26, hkl 1 0 4
- 49.1°, intensity 11, hkl 2 0 4
- 51.7°, intensity 8, hkl 0 4 0
- 55.6°, intensity 11, hkl 0 2 6
- 64.5°, intensity 16, hkl 3 2 2
- 64.8°, intensity 8, hkl 2 4 0
- 68.2°, intensity 12, hkl 2 2 6

Cell and atoms:
```
data_HoThCd6
_chemical_formula_sum 'Ho2 Th2 Cd12'
_cell_length_a 4.9527
_cell_length_b 7.0757
_cell_length_c 11.2241
_cell_angle_alpha 90.00
_cell_angle_beta 90.00
_cell_angle_gamma 90.00
_symmetry_space_group_name_H-M 'A m m 2'
_symmetry_Int_Tables_number 38
loop_
_symmetry_equiv_pos_as_xyz
'x,y,z'
'-x,-y,z'
'-x,y,z'
'x,-y,z'
'x,y+1/2,z+1/2'
'-x,-y+1/2,z+1/2'
'-x,y+1/2,z+1/2'
'x,-y+1/2,z+1/2'
loop_
_atom_site_label
_atom_site_fract_x
_atom_site_fract_y
_atom_site_fract_z
Ho1 0.0000 0.0000 0.0000
Th1 0.5000 0.0000 0.7146
Cd1 0.0000 0.0000 0.5274
Cd2 0.0000 0.2147 0.2683
Cd3 0.5000 0.0000 0.1827
Cd4 0.5000 0.2203 0.4493
```

=====

[7]
Diffraction record for NdTe2O5. The powder diffraction line list is computed, not measured: it uses DFT lattice parameters and positions (PBE) and Cu Ka.
Intensities are scaled so that the largest is 100.

Most intense lines, 2θ from 10° to 90°, in order of rising 2θ:
- 18.8°, intensity 44, hkl 1 1 1
- 23.6°, intensity 75, hkl 1 2 1
- 24.1°, intensity 29, hkl 2 0 0
- 27.4°, intensity 69, hkl 1 3 0
- 28.0°, intensity 100, hkl 1 1 2
- 28.2°, intensity 69, hkl 2 1 1
- 29.0°, intensity 20, hkl 0 2 2
- 30.0°, intensity 32, hkl 1 3 1
- 38.1°, intensity 24, hkl 2 2 2
- 41.1°, intensity 23, hkl 0 4 2
- 42.1°, intensity 34, hkl 3 2 1
- 50.2°, intensity 25, hkl 2 5 1

Cell and atoms:
```
data_NdTe2O5
_chemical_formula_sum 'Nd4 Te8 O20'
_cell_length_a 7.3854
_cell_length_b 10.8739
_cell_length_c 7.4542
_cell_angle_alpha 90.00
_cell_angle_beta 90.00
_cell_angle_gamma 90.00
_symmetry_space_group_name_H-M 'P b c n'
_symmetry_Int_Tables_number 60
loop_
_symmetry_equiv_pos_as_xyz
'x,y,z'
'-x,-y,-z'
'-x+1/2,-y+1/2,z+1/2'
'x+1/2,y+1/2,-z+1/2'
'x+1/2,-y+1/2,-z'
'-x+1/2,y+1/2,z'
'-x,y,-z+1/2'
'x,-y,z+1/2'
loop_
_atom_site_label
_atom_site_fract_x
_atom_site_fract_y
_atom_site_fract_z
Nd1 0.0000 0.0531 0.2500
Te1 0.1000 0.3544 0.0250
O1 0.0000 0.4394 0.2500
O2 0.1682 0.0634 0.5251
O3 0.1821 0.2189 0.1676
```

=====

[8]
Diffraction record for KLiTc4. The powder diffraction line list is computed, not measured: it uses DFT lattice parameters and positions (PBE) and Cu Ka.
Intensities are scaled so that the largest is 100.

Most intense lines, 2θ from 10° to 90°, in order of rising 2θ:
- 20.4°, intensity 100, hkl 1 1 1
- 23.6°, intensity 2, hkl 2 0 0
- 33.6°, intensity 3, hkl 2 2 0
- 39.7°, intensity 100, hkl 3 1 1
- 41.5°, intensity 87, hkl 2 2 2
- 48.3°, intensity 33, hkl 4 0 0
- 53.0°, intensity 23, hkl 3 3 1
- 64.2°, intensity 30, hkl 5 1 1
- 70.7°, intensity 31, hkl 4 4 0
- 74.5°, intensity 16, hkl 5 3 1
- 84.3°, intensity 10, hkl 5 3 3
- 85.5°, intensity 31, hkl 6 2 2

Cell and atoms:
```
data_KLiTc4
_chemical_formula_sum 'K4 Li4 Tc16'
_cell_length_a 7.5342
_cell_length_b 7.5342
_cell_length_c 7.5342
_cell_angle_alpha 90.00
_cell_angle_beta 90.00
_cell_angle_gamma 90.00
_symmetry_space_group_name_H-M 'F -4 3 m'
_symmetry_Int_Tables_number 216
_symmetry_space_group_name_Hall 'F -4 2 3'
loop_
_atom_site_label
_atom_site_fract_x
_atom_site_fract_y
_atom_site_fract_z
K1 0.0000 0.0000 0.0000
Li1 0.2500 0.2500 0.7500
Tc1 0.1249 0.1249 0.3751
```

=====

[9]
Diffraction record for Cu3BiSe2IO8. The powder diffraction line list is computed, not measured: it uses DFT lattice parameters and positions (PBE) and Cu Ka.
Intensities are scaled so that the largest is 100.

Most intense lines, 2θ from 10° to 90°, in order of rising 2θ:
- 11.9°, intensity 18, hkl 0 0 1
- 16.4°, intensity 21, hkl 1 1 0
- 25.7°, intensity 100, hkl 1 2 1
- 27.6°, intensity 60, hkl 2 0 0
- 30.0°, intensity 68, hkl 0 2 2
- 33.1°, intensity 44, hkl 2 2 0
- 35.3°, intensity 38, hkl 2 2 1
- 36.5°, intensity 19, hkl 0 4 0
- 36.8°, intensity 21, hkl 2 0 2
- 40.6°, intensity 22, hkl 0 2 3
- 52.7°, intensity 33, hkl 2 4 2
- 60.3°, intensity 17, hkl 2 2 4

Cell and atoms:
```
data_Cu3BiSe2IO8
_chemical_formula_sum 'Cu6 Bi2 Se4 I2 O16'
_cell_length_a 6.4710
_cell_length_b 9.8557
_cell_length_c 7.4631
_cell_angle_alpha 90.00
_cell_angle_beta 90.00
_cell_angle_gamma 90.00
_symmetry_space_group_name_H-M 'P m m n'
_symmetry_Int_Tables_number 59
loop_
_symmetry_equiv_pos_as_xyz
'x,y,z'
'-x,-y,-z'
'-x+1/2,-y+1/2,z'
'x+1/2,y+1/2,-z'
'x+1/2,-y,-z'
'-x+1/2,y,z'
'-x,y+1/2,-z'
'x,-y+1/2,z'
loop_
_atom_site_label
_atom_site_fract_x
_atom_site_fract_y
_atom_site_fract_z
Cu1 0.0000 0.0000 0.0000
Cu2 0.2500 0.2500 0.2039
Bi1 0.2500 0.2500 0.7585
Se1 0.2500 0.5558 0.3837
I1 0.2500 0.7500 0.8278
O1 0.0395 0.5848 0.2410
O2 0.2500 0.1144 0.0074
O3 0.2500 0.1171 0.4059
```

=====

[10]
Diffraction record for Sc2AlCo2Ni5. The powder diffraction line list is computed, not measured: it uses DFT lattice parameters and positions (PBE) and Cu Ka.
Intensities are scaled so that the largest is 100.

Most intense lines, 2θ from 10° to 90°, in order of rising 2θ:
- 14.9°, intensity 11, hkl 1 1 0
- 23.7°, intensity 27, hkl 2 1 0
- 38.7°, intensity 15, hkl 2 2 1
- 41.7°, intensity 100, hkl 3 1 1
- 44.6°, intensity 29, hkl 4 1 0
- 45.9°, intensity 60, hkl 3 3 0
- 48.6°, intensity 43, hkl 0 0 2
- 49.9°, intensity 20, hkl 4 0 1
- 68.1°, intensity 17, hkl 4 1 2
- 76.2°, intensity 13, hkl 6 3 0
- 86.1°, intensity 15, hkl 3 1 3
- 89.0°, intensity 11, hkl 3 2 3

Cell and atoms:
```
data_Sc2AlCo2Ni5
_chemical_formula_sum 'Sc4 Al2 Co4 Ni10'
_cell_length_a 8.3820
_cell_length_b 8.3820
_cell_length_c 3.7463
_cell_angle_alpha 90.00
_cell_angle_beta 90.00
_cell_angle_gamma 90.00
_symmetry_space_group_name_H-M 'P 4/m b m'
_symmetry_Int_Tables_number 127
_symmetry_space_group_name_Hall '-P 4 2ab'
loop_
_atom_site_label
_atom_site_fract_x
_atom_site_fract_y
_atom_site_fract_z
Sc1 0.1699 0.3301 0.0000
Al1 0.0000 0.0000 0.0000
Co1 0.1292 0.6292 0.0000
Ni1 0.0000 0.5000 0.5000
Ni2 0.0678 0.7964 0.5000
```

=====

[11]
Diffraction record for SrTl10In2. The powder diffraction line list is computed, not measured: it uses DFT lattice parameters and positions (PBE) and Cu Ka.
Intensities are scaled so that the largest is 100.

Most intense lines, 2θ from 10° to 90°, in order of rising 2θ:
- 27.3°, intensity 72, hkl 1 3 3
- 28.3°, intensity 34, hkl 2 0 0
- 31.3°, intensity 89, hkl 0 4 4
- 31.4°, intensity 86, hkl 1 1 5
- 31.7°, intensity 93, hkl 1 5 1
- 32.4°, intensity 100, hkl 2 2 2
- 34.9°, intensity 48, hkl 0 2 6
- 35.3°, intensity 86, hkl 0 6 2
- 35.5°, intensity 47, hkl 1 5 3
- 36.0°, intensity 70, hkl 2 0 4
- 36.2°, intensity 64, hkl 2 4 0
- 56.4°, intensity 58, hkl 2 6 6

Cell and atoms:
```
data_SrTl10In2
_chemical_formula_sum 'Sr4 Tl40 In8'
_cell_length_a 6.3041
_cell_length_b 16.0660
_cell_length_c 16.2833
_cell_angle_alpha 90.00
_cell_angle_beta 90.00
_cell_angle_gamma 90.00
_symmetry_space_group_name_H-M 'F m m m'
_symmetry_Int_Tables_number 69
_symmetry_space_group_name_Hall '-F 2 2'
loop_
_atom_site_label
_atom_site_fract_x
_atom_site_fract_y
_atom_site_fract_z
Sr1 0.0000 0.0000 0.0000
Tl1 0.0000 0.1059 0.3972
Tl2 0.0000 0.1796 0.1753
Tl3 0.2500 0.0000 0.2500
In1 0.2500 0.2500 0.0000
```

=====

[12]
Diffraction record for Ca2YIn2. The powder diffraction line list is computed, not measured: it uses DFT lattice parameters and positions (PBE) and Cu Ka.
Intensities are scaled so that the largest is 100.

Most intense lines, 2θ from 10° to 90°, in order of rising 2θ:
- 10.9°, intensity 28, hkl 0 0 2
- 21.0°, intensity 15, hkl 1 0 3
- 23.9°, intensity 13, hkl 1 1 2
- 31.2°, intensity 34, hkl 2 0 3
- 31.8°, intensity 28, hkl 2 1 1
- 32.3°, intensity 100, hkl 0 1 5
- 33.2°, intensity 63, hkl 2 1 2
- 33.5°, intensity 48, hkl 0 2 0
- 34.5°, intensity 12, hkl 2 0 4
- 38.5°, intensity 16, hkl 2 1 4
- 46.4°, intensity 19, hkl 2 2 3
- 59.1°, intensity 18, hkl 0 3 5

Cell and atoms:
```
data_Ca2YIn2
_chemical_formula_sum 'Ca8 Y4 In8'
_cell_length_a 6.7678
_cell_length_b 5.3544
_cell_length_c 16.1965
_cell_angle_alpha 90.00
_cell_angle_beta 90.00
_cell_angle_gamma 90.00
_symmetry_space_group_name_H-M 'P n m a'
_symmetry_Int_Tables_number 62
loop_
_symmetry_equiv_pos_as_xyz
'x,y,z'
'-x,-y,-z'
'-x+1/2,-y,z+1/2'
'x+1/2,y,-z+1/2'
'x+1/2,-y+1/2,-z+1/2'
'-x+1/2,y+1/2,z+1/2'
'-x,y+1/2,-z'
'x,-y+1/2,z'
loop_
_atom_site_label
_atom_site_fract_x
_atom_site_fract_y
_atom_site_fract_z
Ca1 0.0349 0.2500 0.1455
Ca2 0.1781 0.2500 0.7309
Y1 0.1525 0.7500 0.4533
In1 0.0533 0.2500 0.3491
In2 0.1410 0.7500 0.0428
```